Record 1
Diffraction record for Ba4Cu3SeO12. The powder diffractogram is computed, not measured: it uses a structure optimized by DFT (PBE) and copper Kα.
Intensities are scaled so that the largest is 100.

Crystal structure
Cell: 8.083 8.083 8.083 Å, 90.00 90.00 90.00°
Space group Im-3m (No. 229)
Unique sites:
Ba1 0.250 0.250 0.250 (multiplicity 8)
Cu1 0.000 0.000 0.500 (multiplicity 6)
Se1 0.000 0.000 0.000 (multiplicity 2)
O1 0.000 0.000 0.230 (multiplicity 12)
O2 0.000 0.250 0.500 (multiplicity 12)

Peak list (10 most intense, 10 to 80 degrees two-theta, low angle first)
| d/Å | intensity |
| --- | --- |
| 4.041 | 6 |
| 2.858 | 100 |
| 2.333 | 12 |
| 2.021 | 32 |
| 1.807 | 3 |
| 1.650 | 39 |
| 1.429 | 19 |
| 1.347 | 2 |
| 1.278 | 17 |
| 1.219 | 4 |



Record 2
Diffraction record for Ce2Si4Pt7. The powder diffractogram is computed, not measured: it uses a structure optimized by DFT (PBE) and copper Kα.
Intensities are scaled so that the largest is 100.

Crystal structure
Cell: 19.811 4.051 11.315 Å, 90.00 90.00 90.00°
Space group Pnma (No. 62)
Unique sites:
Ce1 0.029 0.250 0.243 (multiplicity 4)
Ce2 0.218 0.250 0.021 (multiplicity 4)
Si1 0.085 0.750 0.061 (multiplicity 4)
Si2 0.087 0.750 0.425 (multiplicity 4)
Si3 0.094 0.250 0.752 (multiplicity 4)
Si4 0.245 0.250 0.300 (multiplicity 4)
Pt1 0.033 0.250 0.566 (multiplicity 4)
Pt2 0.041 0.250 0.949 (multiplicity 4)
Pt3 0.128 0.750 0.621 (multiplicity 4)
Pt4 0.137 0.750 0.871 (multiplicity 4)
Pt5 0.149 0.750 0.241 (multiplicity 4)
Pt6 0.159 0.250 0.442 (multiplicity 4)
Pt7 0.215 0.250 0.694 (multiplicity 4)

Peak list (10 most intense, 10 to 80 degrees two-theta, low angle first)
| d/Å | intensity |
| --- | --- |
| 3.525 | 19 |
| 3.126 | 25 |
| 2.746 | 18 |
| 2.734 | 17 |
| 2.659 | 74 |
| 2.559 | 100 |
| 2.411 | 62 |
| 2.070 | 21 |
| 2.025 | 50 |
| 1.978 | 23 |



Record 3
Diffraction record for Rb2Te2Pt. The powder diffractogram is computed, not measured: it uses a structure optimized by DFT (PBE) and copper Kα.
Intensities are scaled so that the largest is 100.

Crystal structure
Cell: 4.070 8.222 10.844 Å, 90.00 90.00 90.00°
Space group Immm (No. 71)
Unique sites:
Rb1 0.000 0.000 0.199 (multiplicity 4)
Te1 0.000 0.211 0.500 (multiplicity 4)
Pt1 0.000 0.500 0.000 (multiplicity 2)

Peak list (10 most intense, 10 to 80 degrees two-theta, low angle first)
| d/Å | intensity |
| --- | --- |
| 6.552 | 68 |
| 5.422 | 53 |
| 3.309 | 56 |
| 3.027 | 42 |
| 2.795 | 100 |
| 2.711 | 25 |
| 2.258 | 18 |
| 2.097 | 51 |
| 2.035 | 17 |
| 1.735 | 56 |



Record 4
Diffraction record for Tm5BiPd2. The powder diffractogram is computed, not measured: it uses a structure optimized by DFT (PBE) and copper Kα.
Intensities are scaled so that the largest is 100.

Crystal structure
Cell: 7.675 7.675 13.837 Å, 90.00 90.00 90.00°
Space group I4/mcm (No. 140)
Unique sites:
Tm1 0.000 0.000 0.000 (multiplicity 4)
Tm2 0.155 0.345 0.139 (multiplicity 16)
Bi1 0.000 0.000 0.250 (multiplicity 4)
Pd1 0.139 0.361 0.500 (multiplicity 8)

Peak list (10 most intense, 10 to 80 degrees two-theta, low angle first)
| d/Å | intensity |
| --- | --- |
| 2.917 | 36 |
| 2.754 | 100 |
| 2.714 | 14 |
| 2.569 | 36 |
| 2.427 | 70 |
| 2.154 | 15 |
| 1.678 | 12 |
| 1.603 | 18 |
| 1.409 | 21 |
| 1.362 | 16 |



Record 5
Diffraction record for KH3S2O8. The powder diffractogram is computed, not measured: it uses a structure optimized by DFT (PBE) and copper Kα.
Intensities are scaled so that the largest is 100.

Crystal structure
Cell: 7.727 11.639 8.924 Å, 90.00 112.87 90.00°
Space group P2_1/c (No. 14)
Unique sites:
K1 0.137 0.249 0.054 (multiplicity 4)
H1 0.237 0.582 0.493 (multiplicity 4)
H2 0.255 0.616 0.853 (multiplicity 4)
H3 0.361 0.573 0.204 (multiplicity 4)
S1 0.067 0.504 0.264 (multiplicity 4)
S2 0.434 0.709 0.068 (multiplicity 4)
O1 0.039 0.605 0.758 (multiplicity 4)
O2 0.047 0.107 0.274 (multiplicity 4)
O3 0.193 0.502 0.454 (multiplicity 4)
O4 0.198 0.003 0.679 (multiplicity 4)
O5 0.267 0.723 0.539 (multiplicity 4)
O6 0.393 0.231 0.900 (multiplicity 4)
O7 0.397 0.628 0.919 (multiplicity 4)
O8 0.473 0.628 0.216 (multiplicity 4)

Peak list (10 most intense, 10 to 80 degrees two-theta, low angle first)
| d/Å | intensity |
| --- | --- |
| 4.506 | 85 |
| 4.257 | 36 |
| 4.092 | 33 |
| 3.495 | 32 |
| 3.405 | 50 |
| 3.377 | 27 |
| 3.358 | 100 |
| 3.291 | 37 |
| 3.216 | 20 |
| 2.907 | 30 |



Record 6
Diffraction record for TeMoWSeS2. The powder diffractogram is computed, not measured: it uses a structure optimized by DFT (PBE) and copper Kα.
Intensities are scaled so that the largest is 100.

Crystal structure
Cell: 3.3093 3.3093 37.7140 Å, 90.00 90.00 120.00°
Space group P3m1 (No. 156)
Unique sites:
Te1 0.0000 0.0000 0.0000 (multiplicity 1)
Te2 0.0000 0.0000 0.1018 (multiplicity 1)
Mo1 0.0000 0.0000 0.4873 (multiplicity 1)
Mo2 0.0000 0.0000 0.8630 (multiplicity 1)
W1 0.3333 0.6667 0.0509 (multiplicity 1)
W2 0.3333 0.6667 0.6752 (multiplicity 1)
Se1 0.3333 0.6667 0.8186 (multiplicity 1)
Se2 0.3333 0.6667 0.9074 (multiplicity 1)
S1 0.0000 0.0000 0.6345 (multiplicity 1)
S2 0.0000 0.0000 0.7158 (multiplicity 1)
S3 0.3333 0.6667 0.4467 (multiplicity 1)
S4 0.3333 0.6667 0.5279 (multiplicity 1)

Peak list (10 most intense, 10 to 80 degrees two-theta, low angle first)
| d/Å | intensity |
| --- | --- |
| 7.543 | 100 |
| 6.286 | 21 |
| 2.864 | 39 |
| 2.679 | 17 |
| 2.449 | 76 |
| 2.366 | 12 |
| 2.039 | 41 |
| 1.963 | 15 |
| 1.654 | 27 |
| 1.371 | 12 |



Record 7
Diffraction record for CsNb4Cl11. The powder diffractogram is computed, not measured: it uses a structure optimized by DFT (PBE) and copper Kα.
Intensities are scaled so that the largest is 100.

Crystal structure
Cell: 16.296 7.055 7.163 Å, 90.00 90.00 90.00°
Space group Pmma (No. 51)
Unique sites:
Cs1 0.250 0.000 0.018 (multiplicity 2)
Nb1 0.000 0.286 0.500 (multiplicity 4)
Nb2 0.141 0.500 0.618 (multiplicity 4)
Cl1 0.077 0.251 0.803 (multiplicity 8)
Cl2 0.083 0.000 0.370 (multiplicity 4)
Cl3 0.086 0.500 0.299 (multiplicity 4)
Cl4 0.250 0.270 0.488 (multiplicity 4)
Cl5 0.250 0.500 0.890 (multiplicity 2)

Peak list (10 most intense, 10 to 80 degrees two-theta, low angle first)
| d/Å | intensity |
| --- | --- |
| 7.163 | 80 |
| 7.055 | 24 |
| 5.380 | 69 |
| 5.026 | 63 |
| 4.803 | 28 |
| 3.237 | 31 |
| 2.690 | 38 |
| 2.538 | 26 |
| 2.499 | 100 |
| 1.977 | 47 |



Record 8
Diffraction record for Mg6MnCr. The powder diffractogram is computed, not measured: it uses a structure optimized by DFT (PBE) and copper Kα.
Intensities are scaled so that the largest is 100.

Crystal structure
Cell: 4.948 6.225 10.596 Å, 90.00 90.00 90.00°
Space group Amm2 (No. 38)
Unique sites:
Mg1 0.000 0.000 0.000 (multiplicity 2)
Mg2 0.000 0.000 0.500 (multiplicity 2)
Mg3 0.000 0.250 0.243 (multiplicity 4)
Mg4 0.500 0.250 0.412 (multiplicity 4)
Mn1 0.500 0.000 0.164 (multiplicity 2)
Cr1 0.500 0.000 0.664 (multiplicity 2)

Peak list (10 most intense, 10 to 80 degrees two-theta, low angle first)
| d/Å | intensity |
| --- | --- |
| 5.298 | 15 |
| 2.684 | 27 |
| 2.649 | 13 |
| 2.474 | 38 |
| 2.359 | 100 |
| 2.335 | 48 |
| 1.819 | 16 |
| 1.536 | 16 |
| 1.405 | 17 |
| 1.305 | 17 |



Record 9
Diffraction record for W2N3. The powder diffractogram is computed, not measured: it uses a structure optimized by DFT (PBE) and copper Kα.
Intensities are scaled so that the largest is 100.

Crystal structure
Cell: 2.9194 2.9194 15.8354 Å, 90.00 90.00 120.00°
Space group P6_3/mmc (No. 194)
Unique sites:
W1 0.3333 0.6667 0.1572 (multiplicity 4)
N1 0.3333 0.6667 0.5865 (multiplicity 4)
N2 0.3333 0.6667 0.7500 (multiplicity 2)

Peak list (10 most intense, 10 to 80 degrees two-theta, low angle first)
| d/Å | intensity |
| --- | --- |
| 7.918 | 96 |
| 3.959 | 62 |
| 2.639 | 30 |
| 2.528 | 37 |
| 2.497 | 100 |
| 1.976 | 94 |
| 1.686 | 23 |
| 1.460 | 26 |
| 1.277 | 21 |
| 1.251 | 18 |



Q: Which formula does entry 8 have?
A: Mg6MnCr